No. 1
Structure and calculated powder XRD pattern of LaYAg4 (a cell relaxed with PBE; Cu Kα, 1.54184 Å).

Principal peaks in the range 2θ from 10° to 80°, sorted by position:
2θ (°)	I (rel.)
24.93	1
33.07	68
36.82	100
47.47	24
58.25	6
61.55	42
68.65	14
69.40	7
78.34	10
79.06	10

```
LaYAg4
1.0
5.416 0.000 0.000
0.000 9.503 0.000
0.000 0.000 5.417
La Y Ag
2 2 8
direct
0.000 0.000 0.000
0.500 0.500 0.000
0.000 0.500 0.500
0.500 0.000 0.500
0.000 0.177 0.500
0.000 0.332 0.000
0.000 0.668 0.000
0.000 0.823 0.500
0.500 0.168 0.000
0.500 0.323 0.500
0.500 0.677 0.500
0.500 0.832 0.000
```

No. 2
Structure and calculated powder XRD pattern of LiNiHg4 (a cell relaxed with PBE; Cu Kα, 1.54184 Å).

Principal peaks in the range 2θ from 10° to 80°, sorted by position:
2θ (°)	I (rel.)
18.85	100
36.55	98
38.23	92
44.44	38
48.67	27
58.84	33
64.66	35
68.02	21
76.62	12
77.67	36

```
LiNiHg4
1.0
0.000 4.077 4.077
4.077 0.000 4.077
4.077 4.077 0.000
Li Ni Hg
1 1 4
direct
0.000 0.000 0.000
0.750 0.750 0.750
0.375 0.375 0.375
0.375 0.375 0.874
0.375 0.874 0.375
0.874 0.375 0.375
```